# MgTi4P6O24
Theoretical powder X-ray diffraction pattern, Cu Kα, 1.54184 Å. Input: a structure optimized by DFT (PBE).
Intensities are scaled so that the largest is 1000.

Principal peaks in the range 10 to 90 degrees two-theta, most intense first:
2θ (°)	I (rel.)	index
24.20	1000	2 -1 3
20.70	291	1 0 4
20.52	273	1 1 0
32.98	264	2 -1 6
29.31	236	0 2 4
31.88	176	2 1 1

Cell and atoms:
```
data_MgTi4P6O24
_chemical_formula_sum 'Mg3 Ti12 P18 O72'
_symmetry_space_group_name_H-M 'R -3'
_symmetry_Int_Tables_number 148
_symmetry_space_group_name_Hall '-R 3'
_cell_length_a 8.6552
_cell_length_b 8.6552
_cell_length_c 20.9260
_cell_angle_alpha 90.00
_cell_angle_beta 90.00
_cell_angle_gamma 120.00
loop_
_atom_site_label
_atom_site_type_symbol
_atom_site_fract_x
_atom_site_fract_y
_atom_site_fract_z
Mg1 Mg 0.0000 0.0000 0.0000
Ti1 Ti 0.0000 0.0000 0.1468
Ti2 Ti 0.0000 0.0000 0.3667
P1 P 0.0090 0.2933 0.7462
O1 O 0.0100 0.1927 0.8081
O2 O 0.0143 0.1914 0.6879
O3 O 0.0217 0.1971 0.4163
O4 O 0.0272 0.8438 0.9234
```

# Mg2Ti5P6O24
Theoretical powder X-ray diffraction pattern, Cu Kα, 1.54184 Å. Input: a structure optimized by DFT (PBE).
Intensities are scaled so that the largest is 1000.

Principal peaks in the range 10 to 90 degrees two-theta, most intense first:
2θ (°)	I (rel.)	index
29.43	1000	0 2 1
29.86	755	0 1 -3
28.14	455	2 0 -1
29.21	416	2 -1 0
20.30	352	1 -1 1
32.89	307	2 1 -2

Cell and atoms:
```
data_Mg2Ti5P6O24
_chemical_formula_sum 'Mg2 Ti5 P6 O24'
_symmetry_space_group_name_H-M 'P -1'
_symmetry_Int_Tables_number 2
_cell_length_a 6.475
_cell_length_b 8.052
_cell_length_c 9.472
_cell_angle_alpha 104.72
_cell_angle_beta 108.48
_cell_angle_gamma 101.52
loop_
_symmetry_equiv_pos_as_xyz
'x,y,z'
'-x,-y,-z'
loop_
_atom_site_label
_atom_site_type_symbol
_atom_site_fract_x
_atom_site_fract_y
_atom_site_fract_z
Mg1 Mg 0.216 0.190 0.211
Ti1 Ti 0.100 0.538 0.384
Ti2 Ti 0.451 0.284 0.976
Ti3 Ti 0.500 0.000 0.500
P1 P 0.108 0.775 0.132
P2 P 0.274 0.858 0.730
P3 P 0.422 0.413 0.668
O1 O 0.045 0.638 0.211
O2 O 0.045 0.743 0.726
O3 O 0.116 0.215 0.990
O4 O 0.204 0.460 0.583
O5 O 0.236 0.965 0.266
O6 O 0.255 0.726 0.040
O7 O 0.270 0.810 0.558
O8 O 0.294 0.056 0.796
O9 O 0.368 0.456 0.334
O10 O 0.403 0.219 0.586
O11 O 0.443 0.456 0.844
O12 O 0.481 0.813 0.835
```

# MgTiPO5
Theoretical powder X-ray diffraction pattern, Cu Kα, 1.54184 Å. Input: a structure optimized by DFT (PBE).
Intensities are scaled so that the largest is 1000.

Principal peaks in the range 10 to 90 degrees two-theta, most intense first:
2θ (°)	I (rel.)	index
27.75	1000	1 1 -2
28.83	803	2 0 0
34.98	535	0 2 2
35.58	431	1 3 0
55.57	293	3 3 0
52.70	273	2 2 2

Cell and atoms:
```
data_MgTiPO5
_chemical_formula_sum 'Mg4 Ti4 P4 O20'
_symmetry_space_group_name_H-M 'C 1 2/c 1'
_symmetry_Int_Tables_number 15
_cell_length_a 6.698
_cell_length_b 8.288
_cell_length_c 7.063
_cell_angle_alpha 90.00
_cell_angle_beta 112.36
_cell_angle_gamma 90.00
loop_
_symmetry_equiv_pos_as_xyz
'x,y,z'
'-x,-y,-z'
'-x,y,-z+1/2'
'x,-y,z+1/2'
'x+1/2,y+1/2,z'
'-x+1/2,-y+1/2,-z'
'-x+1/2,y+1/2,-z+1/2'
'x+1/2,-y+1/2,z+1/2'
loop_
_atom_site_label
_atom_site_type_symbol
_atom_site_fract_x
_atom_site_fract_y
_atom_site_fract_z
Mg1 Mg 0.000 0.167 0.250
Ti1 Ti 0.000 0.500 0.000
P1 P 0.000 0.168 0.750
O1 O 0.000 0.412 0.250
O2 O 0.109 0.276 0.640
O3 O 0.164 0.042 0.904
```

# MgTi3P4O14
Theoretical powder X-ray diffraction pattern, Cu Kα, 1.54184 Å. Input: a structure optimized by DFT (PBE).
Intensities are scaled so that the largest is 1000.

Principal peaks in the range 10 to 90 degrees two-theta, most intense first:
2θ (°)	I (rel.)	index
29.40	1000	2 1 -2
30.35	746	1 2 1
29.04	727	1 1 2
26.35	628	1 0 2
31.18	489	1 2 -2
31.64	398	0 1 3

Cell and atoms:
```
data_MgTi3P4O14
_chemical_formula_sum 'Mg2 Ti6 P8 O28'
_symmetry_space_group_name_H-M 'P 1 21/c 1'
_symmetry_Int_Tables_number 14
_cell_length_a 7.371
_cell_length_b 7.392
_cell_length_c 9.671
_cell_angle_alpha 90.00
_cell_angle_beta 108.31
_cell_angle_gamma 90.00
loop_
_symmetry_equiv_pos_as_xyz
'x,y,z'
'-x,-y,-z'
'-x,y+1/2,-z+1/2'
'x,-y+1/2,z+1/2'
loop_
_atom_site_label
_atom_site_type_symbol
_atom_site_fract_x
_atom_site_fract_y
_atom_site_fract_z
Mg1 Mg 0.000 0.000 0.000
Ti1 Ti 0.327 0.164 0.487
Ti2 Ti 0.500 0.000 0.000
P1 P 0.067 0.071 0.697
P2 P 0.358 0.707 0.179
O1 O 0.124 0.219 0.608
O2 O 0.143 0.525 0.845
O3 O 0.154 0.101 0.865
O4 O 0.156 0.618 0.166
O5 O 0.297 0.612 0.598
O6 O 0.459 0.579 0.102
O7 O 0.464 0.711 0.344
```

# MgTi2P3O12
Theoretical powder X-ray diffraction pattern, Cu Kα, 1.54184 Å. Input: a structure optimized by DFT (PBE).
Intensities are scaled so that the largest is 1000.

Principal peaks in the range 10 to 90 degrees two-theta, most intense first:
2θ (°)	I (rel.)	index
24.26	1000	1 1 3
33.17	381	1 1 6
20.51	335	1 1 0
35.92	201	3 0 0
20.83	172	1 0 4
47.54	172	1 2 8

Cell and atoms:
```
data_MgTi2P3O12
_chemical_formula_sum 'Mg6 Ti12 P18 O72'
_symmetry_space_group_name_H-M 'R -3 c'
_symmetry_Int_Tables_number 167
_symmetry_space_group_name_Hall '-R 3 2"c'
_cell_length_a 8.6603
_cell_length_b 8.6603
_cell_length_c 20.7343
_cell_angle_alpha 90.00
_cell_angle_beta 90.00
_cell_angle_gamma 120.00
loop_
_atom_site_label
_atom_site_type_symbol
_atom_site_fract_x
_atom_site_fract_y
_atom_site_fract_z
Mg1 Mg 0.0000 0.0000 0.0000
Ti1 Ti 0.0000 0.0000 0.1447
P1 P 0.0000 0.2962 0.2500
O1 O 0.0071 0.1973 0.3105
O2 O 0.0175 0.1829 0.9246
```

# MgTiP4O12
Theoretical powder X-ray diffraction pattern, Cu Kα, 1.54184 Å. Input: a structure optimized by DFT (PBE).
Intensities are scaled so that the largest is 1000.

Principal peaks in the range 10 to 90 degrees two-theta, most intense first:
2θ (°)	I (rel.)	index
29.03	1000	0 2 2
18.90	444	2 0 -2
27.12	319	2 2 0
14.10	305	1 1 -1
20.32	295	1 1 -2
24.78	247	3 1 -1

Cell and atoms:
```
data_MgTiP4O12
_chemical_formula_sum 'Mg4 Ti4 P16 O48'
_symmetry_space_group_name_H-M 'C 1 2/c 1'
_symmetry_Int_Tables_number 15
_cell_length_a 11.970
_cell_length_b 8.436
_cell_length_c 10.234
_cell_angle_alpha 90.00
_cell_angle_beta 118.55
_cell_angle_gamma 90.00
loop_
_symmetry_equiv_pos_as_xyz
'x,y,z'
'-x,-y,-z'
'-x,y,-z+1/2'
'x,-y,z+1/2'
'x+1/2,y+1/2,z'
'-x+1/2,-y+1/2,-z'
'-x+1/2,y+1/2,-z+1/2'
'x+1/2,-y+1/2,z+1/2'
loop_
_atom_site_label
_atom_site_type_symbol
_atom_site_fract_x
_atom_site_fract_y
_atom_site_fract_z
Mg1 Mg 0.000 0.044 0.250
Ti1 Ti 0.250 0.250 0.500
P1 P 0.009 0.263 0.979
P2 P 0.196 0.492 0.193
O1 O 0.030 0.127 0.903
O2 O 0.045 0.232 0.415
O3 O 0.078 0.388 0.646
O4 O 0.142 0.357 0.066
O5 O 0.198 0.074 0.320
O6 O 0.225 0.426 0.341
```

# MgTi2P2O9
Theoretical powder X-ray diffraction pattern, Cu Kα, 1.54184 Å. Input: a structure optimized by DFT (PBE).
Intensities are scaled so that the largest is 1000.

Principal peaks in the range 10 to 90 degrees two-theta, most intense first:
2θ (°)	I (rel.)	index
24.67	1000	1 0 2
17.16	515	2 0 1
31.19	466	1 2 1
28.04	347	0 2 0
22.14	295	2 1 1
27.61	279	4 0 1

Cell and atoms:
```
data_MgTi2P2O9
_chemical_formula_sum 'Mg4 Ti8 P8 O36'
_symmetry_space_group_name_H-M 'P n m a'
_symmetry_Int_Tables_number 62
_cell_length_a 14.339
_cell_length_b 6.365
_cell_length_c 7.457
_cell_angle_alpha 90.00
_cell_angle_beta 90.00
_cell_angle_gamma 90.00
loop_
_symmetry_equiv_pos_as_xyz
'x,y,z'
'-x,-y,-z'
'-x+1/2,-y,z+1/2'
'x+1/2,y,-z+1/2'
'x+1/2,-y+1/2,-z+1/2'
'-x+1/2,y+1/2,z+1/2'
'-x,y+1/2,-z'
'x,-y+1/2,z'
loop_
_atom_site_label
_atom_site_type_symbol
_atom_site_fract_x
_atom_site_fract_y
_atom_site_fract_z
Mg1 Mg 0.228 0.250 0.071
Ti1 Ti 0.000 0.000 0.000
Ti2 Ti 0.118 0.250 0.647
P1 P 0.073 0.750 0.634
P2 P 0.195 0.750 0.119
O1 O 0.002 0.250 0.507
O2 O 0.027 0.750 0.823
O3 O 0.058 0.250 0.871
O4 O 0.137 0.542 0.108
O5 O 0.143 0.564 0.620
O6 O 0.231 0.250 0.466
O7 O 0.247 0.250 0.797
```

# MgTi2Zn2P2O10
Theoretical powder X-ray diffraction pattern, Cu Kα, 1.54184 Å. Input: a structure optimized by DFT (PBE).
Intensities are scaled so that the largest is 1000.

Principal peaks in the range 10 to 90 degrees two-theta, most intense first:
2θ (°)	I (rel.)	index
16.42	1000	1 0 0
21.84	656	1 1 -1
13.35	424	0 0 1
24.24	421	1 1 0
24.62	392	1 0 1
33.15	378	1 -2 0

Cell and atoms:
```
data_MgTi2Zn2P2O10
_chemical_formula_sum 'Mg1 Ti2 Zn2 P2 O10'
_symmetry_space_group_name_H-M 'P 1'
_symmetry_Int_Tables_number 1
_cell_length_a 5.762
_cell_length_b 6.072
_cell_length_c 7.404
_cell_angle_alpha 107.16
_cell_angle_beta 108.70
_cell_angle_gamma 92.20
loop_
_symmetry_equiv_pos_as_xyz
'x,y,z'
loop_
_atom_site_label
_atom_site_type_symbol
_atom_site_fract_x
_atom_site_fract_y
_atom_site_fract_z
Mg1 Mg 0.000 0.000 0.000
Ti1 Ti 0.246 0.370 0.886
Ti2 Ti 0.323 0.483 0.420
Zn1 Zn 0.315 0.804 0.820
Zn2 Zn 0.495 0.017 0.169
P1 P 0.596 0.040 0.614
P2 P 0.862 0.660 0.135
O1 O 0.026 0.630 0.333
O2 O 0.245 0.291 0.148
O3 O 0.259 0.480 0.653
O4 O 0.413 0.087 0.733
O5 O 0.544 0.176 0.460
O6 O 0.556 0.771 0.505
O7 O 0.605 0.516 0.060
O8 O 0.839 0.931 0.180
O9 O 0.870 0.108 0.762
O10 O 0.988 0.616 0.972
```